This entry pairs a crystal structure of MnCrTeO6 with its theoretical powder XRD pattern. Radiation: Cu Kα. Structure: a crystal structure in Alexandria, relaxed with PBE+U.

Structure:
```
MnCrTeO6
1.0
5.1210 0.0000 0.0000
-2.5605 4.4349 0.0000
0.0000 0.0000 9.1219
Mn Cr Te O
2 2 2 12
direct
0.0000 0.0000 0.0000
0.0000 0.0000 0.5000
0.3333 0.6667 0.2500
0.6667 0.3333 0.7500
0.3333 0.6667 0.7500
0.6667 0.3333 0.2500
0.0043 0.3568 0.6328
0.0043 0.6474 0.8672
0.3526 0.3568 0.8672
0.3526 0.9957 0.6328
0.3568 0.0043 0.1328
0.3568 0.3526 0.3672
0.6432 0.6474 0.6328
0.6432 0.9957 0.8672
0.6474 0.0043 0.3672
0.6474 0.6432 0.1328
0.9957 0.3526 0.1328
0.9957 0.6432 0.3672
```

Principal peaks in the range 2θ from 5° to 70°, sorted by position:
2θ 19.5, I 334; 2θ 20.0, I 87; 2θ 22.3, I 301; 2θ 28.1, I 1000; 2θ 35.0, I 438; 2θ 40.4, I 348; 2θ 45.5, I 246; 2θ 53.8, I 539; 2θ 58.7, I 226; 2θ 62.9, I 207